No. 1
The following is a computed X-ray diffraction stick pattern of Li2VBO4. It was derived from the PBE+U geometry in the Materials Project, using copper Kα.

Structure:
```
32
Lattice="10.359 0.000 0.000 0.000 6.239 0.000 0.000 0.000 4.759" Properties=species:S:1:pos:R:3 pbc="T T T"
Li 0.748 1.423 4.758
Li 1.622 6.227 2.380
Li 3.558 3.108 0.000
Li 4.431 4.543 2.378
Li 5.928 1.696 4.758
Li 6.802 3.131 2.380
Li 8.737 0.012 0.000
Li 9.611 4.816 2.378
V 1.670 3.040 2.365
V 3.510 6.160 4.745
V 6.849 0.079 2.365
V 8.690 3.199 4.745
B 0.934 4.653 0.054
B 4.245 1.534 2.434
B 6.114 4.705 0.054
B 9.425 1.586 2.434
O 0.497 1.552 1.978
O 0.997 4.635 1.544
O 1.619 3.395 4.316
O 1.628 5.890 4.323
O 3.551 2.770 1.943
O 3.561 0.275 1.936
O 4.183 1.516 3.923
O 4.682 4.672 4.358
O 5.677 1.567 1.978
O 6.177 4.723 1.544
O 6.798 5.964 4.316
O 6.808 3.469 4.323
O 8.731 0.349 1.943
O 8.740 2.844 1.936
O 9.362 1.604 3.923
O 9.862 4.687 4.358
```

Largest 10 diffraction maxima, in order of rising 2θ, 5° ≤ 2θ ≤ 70°:
| 2θ/deg | intensity |
| --- | --- |
| 16.59 | 54 |
| 23.51 | 24 |
| 25.05 | 100 |
| 25.42 | 24 |
| 29.57 | 45 |
| 33.53 | 56 |
| 34.64 | 35 |
| 37.81 | 53 |
| 38.64 | 32 |
| 61.37 | 24 |



No. 2
The following is a computed X-ray diffraction stick pattern of LiVB2O5. It was derived from the PBE+U geometry in the Materials Project, using copper Kα.

Structure:
```
36
Lattice="6.941 0.000 0.000 0.000 9.630 0.000 -1.666 0.000 5.566" Properties=species:S:1:pos:R:3 pbc="T T T"
Li 1.224 0.556 0.914
Li 0.391 4.259 3.697
Li 4.884 5.371 1.869
Li 4.051 9.074 4.652
V 1.212 6.512 1.611
V 0.379 7.934 4.394
V 4.897 1.697 1.172
V 4.064 3.118 3.955
B -0.495 1.115 3.743
B 0.338 3.700 0.960
B 1.918 0.847 4.107
B 2.751 3.968 1.324
B 2.524 5.662 4.242
B 3.357 8.783 1.459
B 4.937 5.930 4.605
B 5.770 8.515 1.822
O -1.031 6.741 5.154
O -0.199 7.704 2.371
O 0.035 4.830 1.662
O -0.798 9.616 4.445
O 0.822 1.557 3.579
O 1.655 3.258 0.796
O 1.475 6.394 3.724
O 2.308 8.051 0.941
O 2.823 5.317 1.357
O 1.990 9.128 4.140
O 3.285 0.502 1.426
O 2.452 4.313 4.209
O 2.968 1.579 4.625
O 3.801 3.236 1.842
O 3.621 6.372 4.770
O 4.453 8.073 1.987
O 6.073 0.015 1.121
O 5.240 4.801 3.904
O 5.474 1.926 3.194
O 6.307 2.889 0.412
```

Largest 10 diffraction maxima, in order of rising 2θ, 5° ≤ 2θ ≤ 70°:
| 2θ/deg | intensity |
| --- | --- |
| 16.20 | 100 |
| 19.89 | 49 |
| 25.38 | 19 |
| 32.17 | 42 |
| 32.73 | 23 |
| 32.90 | 19 |
| 33.09 | 36 |
| 33.52 | 15 |
| 39.65 | 17 |
| 48.73 | 21 |



No. 3
The following is a computed X-ray diffraction stick pattern of LiVBO4. It was derived from the PBE+U geometry in the Materials Project, using copper Kα.

Structure:
```
42
Lattice="6.444 3.721 3.038 -6.444 3.721 3.038 0.000 -7.441 3.038" Properties=species:S:1:pos:R:3 pbc="T T T"
Li -1.543 -2.019 2.138
Li -0.977 2.346 2.138
Li 2.520 -0.327 2.138
Li -2.520 0.327 6.976
Li 0.977 -2.346 6.976
Li 1.543 2.019 6.976
V -2.801 0.501 3.622
V 0.967 -2.676 3.622
V -1.834 -2.176 5.493
V 1.834 2.176 3.622
V -0.967 2.676 5.493
V 2.801 -0.501 5.493
B -5.401 1.456 3.639
B -3.962 -3.949 5.475
B 1.439 -5.405 3.639
B -1.439 5.405 5.475
B 3.962 3.949 3.639
B 5.401 -1.456 5.475
O -4.600 0.198 3.614
O -2.072 0.690 1.976
O -0.013 -5.075 3.471
O 0.438 -2.140 1.976
O -4.389 2.549 3.471
O -4.402 -2.526 5.643
O -2.210 -1.270 3.960
O -2.472 -3.885 5.500
O 2.128 -4.083 3.614
O 1.634 1.449 1.976
O -0.005 -2.548 5.154
O -2.204 1.279 5.154
O 2.204 -1.279 3.960
O 0.005 2.548 3.960
O -1.634 -1.449 7.139
O -2.128 4.083 5.500
O 2.472 3.885 3.614
O 2.210 1.270 5.154
O 4.402 2.526 3.471
O 4.389 -2.549 5.643
O -0.438 2.140 7.139
O 0.013 5.075 5.643
O 2.072 -0.690 7.139
O 4.600 -0.198 5.500
```

Largest 10 diffraction maxima, in order of rising 2θ, 5° ≤ 2θ ≤ 70°:
| 2θ/deg | intensity |
| --- | --- |
| 13.74 | 39 |
| 23.23 | 100 |
| 23.92 | 17 |
| 27.69 | 25 |
| 28.84 | 22 |
| 32.58 | 57 |
| 36.90 | 52 |
| 47.50 | 17 |
| 58.15 | 17 |
| 58.79 | 18 |



No. 4
The following is a computed X-ray diffraction stick pattern of LiVBO4. It was derived from the PBE+U geometry in the Materials Project, using copper Kα.

Structure:
```
7
Lattice="-2.295 2.295 3.692 2.295 -2.295 3.692 2.295 2.295 -3.692" Properties=species:S:1:pos:R:3 pbc="T T T"
Li 0.000 0.000 0.000
V 0.000 0.000 3.692
B 0.000 2.295 1.846
O 3.047 0.964 -1.005
O 0.964 1.543 1.005
O -0.752 1.331 2.686
O 1.331 0.752 4.697
```

Largest 10 diffraction maxima, in order of rising 2θ, 5° ≤ 2θ ≤ 70°:
| 2θ/deg | intensity |
| --- | --- |
| 22.81 | 100 |
| 24.11 | 8 |
| 27.48 | 12 |
| 36.87 | 55 |
| 41.64 | 8 |
| 45.88 | 18 |
| 46.60 | 11 |
| 58.56 | 14 |
| 64.82 | 12 |
| 69.60 | 8 |



No. 5
The following is a computed X-ray diffraction stick pattern of LiVBO4. It was derived from the PBE+U geometry in the Materials Project, using copper Kα.

Structure:
```
42
Lattice="6.621 3.823 2.976 -6.621 3.823 2.976 0.000 -7.646 2.976" Properties=species:S:1:pos:R:3 pbc="T T T"
Li -5.079 1.660 2.976
Li 1.101 -5.229 2.976
Li -1.222 -2.322 4.418
Li -1.400 2.219 4.418
Li 2.622 0.103 4.418
Li 3.977 3.568 2.976
V -1.565 -5.406 4.403
V -3.900 4.058 4.403
V -2.670 -0.104 5.904
V 1.425 -2.260 5.904
V 1.245 2.365 5.904
V 5.464 1.348 4.403
B -3.953 -3.737 4.389
B -2.700 -0.158 2.910
B 1.487 -2.259 2.910
B 1.213 2.417 2.910
B -1.260 5.292 4.389
B 5.213 -1.555 4.389
O -2.467 -3.814 4.351
O -4.379 -3.084 5.668
O -2.186 1.243 2.812
O 0.016 -2.515 2.812
O -2.284 -0.708 4.218
O -4.694 2.435 4.759
O 0.238 -5.283 4.759
O -4.454 0.234 5.829
O -2.070 4.044 4.351
O 2.170 1.272 2.812
O 1.756 -1.624 4.218
O -0.377 -2.250 6.193
O -2.222 -1.204 7.292
O 0.529 2.332 4.218
O -1.760 1.451 6.193
O 2.024 -3.974 5.829
O 4.537 -0.229 4.351
O -0.481 5.335 5.668
O 2.136 0.799 6.193
O 4.860 -2.251 5.668
O 2.154 -1.322 7.292
O 0.068 2.526 7.292
O 4.456 2.848 4.759
O 2.430 3.740 5.829
```

Largest 10 diffraction maxima, in order of rising 2θ, 5° ≤ 2θ ≤ 70°:
| 2θ/deg | intensity |
| --- | --- |
| 13.37 | 23 |
| 21.36 | 34 |
| 22.80 | 100 |
| 23.27 | 20 |
| 26.93 | 66 |
| 28.70 | 18 |
| 33.00 | 57 |
| 35.88 | 44 |
| 51.55 | 20 |
| 69.47 | 26 |



No. 6
The following is a computed X-ray diffraction stick pattern of Li2VBO4. It was derived from the PBE+U geometry in the Materials Project, using copper Kα.

Structure:
```
16
Lattice="3.466 -3.649 0.000 3.466 3.649 0.000 0.000 0.000 6.217" Properties=species:S:1:pos:R:3 pbc="T T T"
Li 3.466 2.221 4.663
Li 2.241 0.000 0.000
Li 4.692 0.000 3.109
Li 3.466 -2.221 1.554
V 3.466 2.287 1.554
V 3.466 -2.287 4.663
B 2.222 0.000 3.109
B 4.711 0.000 0.000
O 1.381 0.009 1.867
O 1.381 -0.009 4.350
O 3.123 1.209 3.094
O 3.809 1.209 0.015
O 3.123 -1.209 3.123
O 3.809 -1.209 6.202
O 5.551 0.009 1.242
O 5.551 -0.009 4.975
```

Largest 10 diffraction maxima, in order of rising 2θ, 5° ≤ 2θ ≤ 70°:
| 2θ/deg | intensity |
| --- | --- |
| 22.75 | 100 |
| 25.70 | 19 |
| 28.36 | 13 |
| 33.91 | 43 |
| 35.73 | 52 |
| 38.64 | 14 |
| 43.58 | 13 |
| 47.45 | 11 |
| 49.35 | 23 |
| 63.03 | 22 |



No. 7
The following is a computed X-ray diffraction stick pattern of Li2VBO4. It was derived from the PBE+U geometry in the Materials Project, using copper Kα.

Structure:
```
32
Lattice="6.716 0.000 0.000 0.000 5.174 0.000 -1.341 0.000 10.604" Properties=species:S:1:pos:R:3 pbc="T T T"
Li 0.330 0.764 3.128
Li -0.341 1.823 8.430
Li 0.635 0.918 6.103
Li 1.306 1.669 0.801
Li 4.068 3.505 9.803
Li 4.739 4.256 4.501
Li 5.715 3.351 2.174
Li 5.044 4.410 7.476
V 2.426 3.270 6.857
V 3.096 4.491 1.555
V 2.278 0.683 9.049
V 2.949 1.904 3.747
B 0.703 3.552 4.655
B 0.033 4.209 9.957
B 5.342 0.965 0.647
B 4.671 1.622 5.949
O -0.807 3.642 9.058
O -0.136 4.119 3.756
O 0.468 0.390 9.871
O 1.138 2.197 4.568
O 1.859 3.486 0.448
O 1.188 4.275 5.750
O 2.249 0.805 2.340
O 1.578 1.782 7.642
O 3.796 3.392 2.963
O 3.125 4.369 8.265
O 4.186 0.899 4.855
O 3.515 1.688 10.157
O 4.236 2.977 6.036
O 4.907 4.784 0.734
O 5.510 1.055 6.849
O 6.181 1.532 1.547
```

Largest 10 diffraction maxima, in order of rising 2θ, 5° ≤ 2θ ≤ 70°:
| 2θ/deg | intensity |
| --- | --- |
| 13.29 | 91 |
| 19.09 | 32 |
| 22.71 | 24 |
| 23.93 | 15 |
| 26.49 | 100 |
| 29.83 | 46 |
| 34.63 | 15 |
| 34.81 | 50 |
| 53.41 | 17 |
| 56.07 | 21 |